Theoretical powder X-ray diffraction pattern of Sm2Ga3Ni2 for Cu Kα (weighted mean of Kα1 and Kα2), from the PBE geometry in Alexandria.

Most intense lines, 2θ from 15° to 90°, by intensity:
d = 2.554 Å, 35.14°, rel. 100
d = 2.646 Å, 33.88°, rel. 87
d = 2.068 Å, 43.79°, rel. 39
d = 2.089 Å, 43.31°, rel. 37
d = 1.469 Å, 63.29°, rel. 26
d = 2.276 Å, 39.59°, rel. 23
d = 3.085 Å, 28.94°, rel. 20
d = 1.614 Å, 57.08°, rel. 20

Structure:
```
data_Sm2Ga3Ni2
_chemical_formula_sum 'Sm8 Ga12 Ni8'
_symmetry_space_group_name_H-M 'C m c m'
_symmetry_Int_Tables_number 63
_symmetry_space_group_name_Hall '-C 2c 2'
_cell_length_a 4.178
_cell_length_b 18.212
_cell_length_c 6.962
_cell_angle_alpha 90.00
_cell_angle_beta 90.00
_cell_angle_gamma 90.00
loop_
_atom_site_label
_atom_site_type_symbol
_atom_site_fract_x
_atom_site_fract_y
_atom_site_fract_z
_atom_site_occupancy
Sm1 Sm 0.000 0.059 0.250 1
Sm2 Sm 0.000 0.162 0.750 1
Ga1 Ga 0.000 0.223 0.250 1
Ga2 Ga 0.000 0.437 0.069 1
Ni1 Ni 0.000 0.307 0.558 1
```